Structure and simulated PXRD pattern of KAl (a GGA-PBE-relaxed structure; λ = 1.5418 Å (Cu Kα)).
Lines closer than 0.1° are merged.

```
data_KAl
_cell_length_a 4.5069
_cell_length_b 16.4982
_cell_length_c 6.6968
_cell_angle_alpha 90.00
_cell_angle_beta 90.00
_cell_angle_gamma 90.00
_symmetry_space_group_name_H-M 'P m m n'
_symmetry_Int_Tables_number 59
loop_
_symmetry_equiv_pos_as_xyz
'x,y,z'
'-x,-y,-z'
'-x+1/2,-y+1/2,z'
'x+1/2,y+1/2,-z'
'x+1/2,-y,-z'
'-x+1/2,y,z'
'-x,y+1/2,-z'
'x,-y+1/2,z'
loop_
_atom_site_label
_atom_site_type_symbol
_atom_site_fract_x
_atom_site_fract_y
_atom_site_fract_z
K1 K 0.2500 0.0343 0.2322
K2 K 0.2500 0.7500 0.5000
Al1 Al 0.2500 0.2500 0.9992
Al2 Al 0.2500 0.6651 0.0057
```

Most intense lines, 10 to 80 degrees two-theta, low angle first:
Position (°2θ), I/Imax, h k l
13.22, 25, 0 0 1
21.55, 26, 0 4 0
23.80, 32, 1 0 1
26.17, 39, 1 2 1
28.80, 100, 0 2 2
33.66, 20, 1 5 0
33.79, 21, 1 1 2
36.31, 44, 1 5 1
40.01, 22, 2 0 0
50.03, 29, 2 2 2